1.
Diffraction record for YPuH8Rh2. The XRD peak list is calculated, not measured: it uses a DFT-relaxed cell (GGA-PBE, Alexandria) and Cu Ka.
Lines closer than 0.1° are merged.

Crystal structure
```
YPuH8Rh2
1.0
2.2789 1.3157 6.2636
-2.2789 1.3157 6.2636
0.0000 -2.6315 6.2636
Y Pu H Rh
1 1 8 2
Direct
0.0000 0.0000 0.0000 Y
0.5000 0.5000 0.5000 Pu
0.0876 0.5391 0.5391 H
0.1373 0.1373 0.1373 H
0.4609 0.4609 0.9124 H
0.4609 0.9124 0.4609 H
0.5391 0.0876 0.5391 H
0.5391 0.5391 0.0876 H
0.8627 0.8627 0.8627 H
0.9124 0.4609 0.4609 H
0.2310 0.2310 0.2310 Rh
0.7690 0.7690 0.7690 Rh
```

Most intense lines, 2θ = 15–90°, sorted by position:
29.56°, I = 100
39.54°, I = 51
42.20°, I = 15
44.91°, I = 25
50.13°, I = 23
65.66°, I = 21

=====

2.
Diffraction record for TlCuO2. The XRD peak list is calculated, not measured: it uses a DFT-relaxed cell (GGA-PBE, Alexandria) and Cu Ka.
Lines closer than 0.1° are merged.

Crystal structure
```
TlCuO2
1.0
3.5444 0.0000 0.0000
-1.7722 3.0695 0.0000
0.0000 0.0000 17.6988
Tl Cu O
3 3 6
Direct
0.0000 0.3292 0.3333 Tl
0.3292 0.0000 0.6667 Tl
0.6708 0.6708 0.0000 Tl
0.0000 0.3350 0.8333 Cu
0.3350 0.0000 0.1667 Cu
0.6650 0.6650 0.5000 Cu
0.0039 0.3374 0.9361 O
0.3335 0.9961 0.2694 O
0.3374 0.0039 0.0639 O
0.6626 0.6665 0.6027 O
0.6665 0.6626 0.3973 O
0.9961 0.3335 0.7306 O
```

Most intense lines, 2θ = 15–90°, sorted by position:
15.02°, I = 48
30.30°, I = 27
30.83°, I = 100
35.60°, I = 51
50.88°, I = 25
51.57°, I = 27

=====

3.
Diffraction record for Bi3Ir. The XRD peak list is calculated, not measured: it uses a DFT-relaxed cell (GGA-PBE, Alexandria) and Cu Ka.
Lines closer than 0.1° are merged.

Crystal structure
```
Bi3Ir
1.0
6.8773 0.0000 0.0000
-3.4386 5.9559 0.0000
0.0000 0.0000 5.5578
Bi Ir
6 2
Direct
0.0000 0.3147 0.0000 Bi
0.0000 0.6853 0.5000 Bi
0.3147 0.0000 0.0000 Bi
0.3147 0.3147 0.5000 Bi
0.6853 0.0000 0.5000 Bi
0.6853 0.6853 0.0000 Bi
0.3333 0.6667 0.2500 Ir
0.6667 0.3333 0.7500 Ir
```

Most intense lines, 2θ = 15–90°, sorted by position:
21.87°, I = 22
30.57°, I = 100
41.79°, I = 38
45.70°, I = 37
55.98°, I = 17
56.42°, I = 19

=====

4.
Diffraction record for Ba2AgSn6. The XRD peak list is calculated, not measured: it uses a DFT-relaxed cell (GGA-PBE, Alexandria) and Cu Ka.
Lines closer than 0.1° are merged.

Crystal structure
```
Ba2AgSn6
1.0
7.0070 0.0000 0.0000
-3.5035 6.0682 0.0000
0.0000 0.0000 6.3776
Ba Ag Sn
2 1 6
Direct
0.3333 0.6667 0.1602 Ba
0.6667 0.3333 0.8398 Ba
0.0000 0.0000 0.0000 Ag
0.1736 0.3471 0.6723 Sn
0.1736 0.8264 0.6723 Sn
0.3471 0.1736 0.3277 Sn
0.6529 0.8264 0.6723 Sn
0.8264 0.1736 0.3277 Sn
0.8264 0.6529 0.3277 Sn
```

Most intense lines, 2θ = 15–90°, sorted by position:
29.08°, I = 30
29.44°, I = 16
31.70°, I = 31
32.68°, I = 100
41.06°, I = 21
52.22°, I = 26

=====

5.
Diffraction record for Cs3Bi2Pb2. The XRD peak list is calculated, not measured: it uses a DFT-relaxed cell (GGA-PBE, Alexandria) and Cu Ka.
Lines closer than 0.1° are merged.

Crystal structure
```
Cs3Bi2Pb2
1.0
7.5137 0.0000 0.0000
0.0000 11.0226 0.0000
0.0000 0.0000 16.6771
Cs Bi Pb
12 8 8
Direct
0.1113 0.1420 0.1077 Cs
0.1113 0.1420 0.3923 Cs
0.1113 0.3580 0.6077 Cs
0.1113 0.3580 0.8923 Cs
0.3279 0.7174 0.7500 Cs
0.3279 0.7826 0.2500 Cs
0.6721 0.2174 0.7500 Cs
0.6721 0.2826 0.2500 Cs
0.8887 0.6420 0.1077 Cs
0.8887 0.6420 0.3923 Cs
0.8887 0.8580 0.6077 Cs
0.8887 0.8580 0.8923 Cs
0.1959 0.0651 0.7500 Bi
0.1959 0.4349 0.2500 Bi
0.3929 0.7500 0.0000 Bi
0.3929 0.7500 0.5000 Bi
0.6071 0.2500 0.0000 Bi
0.6071 0.2500 0.5000 Bi
0.8041 0.5651 0.7500 Bi
0.8041 0.9349 0.2500 Bi
0.3854 0.0274 0.5837 Pb
0.3854 0.0274 0.9163 Pb
0.3854 0.4726 0.0837 Pb
0.3854 0.4726 0.4163 Pb
0.6146 0.5274 0.5837 Pb
0.6146 0.5274 0.9163 Pb
0.6146 0.9726 0.0837 Pb
0.6146 0.9726 0.4163 Pb
```

Most intense lines, 2θ = 15–90°, sorted by position:
15.23°, I = 50
25.04°, I = 40
25.65°, I = 37
27.01°, I = 52
29.37°, I = 45
29.83°, I = 100

=====

- What is the formula in the third record?
  Bi3Ir